# InH3I3
Theoretical powder XRD pattern, Cu Ka. Input: DFT lattice parameters and positions (GGA-PBE).
Lines closer than 0.1° are merged.

Principal peaks in the range 15° ≤ 2θ ≤ 90°, in order of rising 2θ:
Position (°2θ)	I_rel	h k l
21.44	299	-1 1 1
23.41	1000	0 2 -1
28.22	539	2 0 0
28.73	578	0 0 3
35.10	290	2 -2 1
37.80	291	0 2 -4

Atomic structure:
abc: 6.3868 7.6409 10.0066
angles: 110.60 93.24 95.75
Space group P-1 (No. 2)
Symmetry-distinct sites (fractional):
In 0.2302 0.4162 0.3374 [2 per cell]
H 0.0711 0.1839 0.8724 [2 per cell]
H 0.1983 0.1621 0.3214 [2 per cell]
H 0.2294 0.6480 0.3110 [2 per cell]
I 0.2201 0.9077 0.3204 [2 per cell]
I 0.2794 0.5839 0.6662 [2 per cell]
I 0.2963 0.2251 0.9797 [2 per cell]


# TmSi6Pt12
Theoretical powder XRD pattern, Cu Ka. Input: DFT lattice parameters and positions (GGA-PBE).
Lines closer than 0.1° are merged.

Principal peaks in the range 15° ≤ 2θ ≤ 90°, in order of rising 2θ:
Position (°2θ)	I_rel	h k l
26.82	234	3 0 0
34.26	1000	1 3 1
36.82	548	1 1 3
43.21	382	0 3 3
51.06	390	5 0 2
74.76	166	4 4 3

Atomic structure:
abc: 11.5162 11.5162 8.0868
angles: 90.00 90.00 120.00
Space group R-3m (No. 166, hexagonal axes)
Symmetry-distinct sites (fractional):
Tm 0.0000 0.0000 0.0000 [3 per cell]
Si 0.0463 0.5232 0.2627 [18 per cell]
Pt 0.0000 0.3742 0.5000 [18 per cell]
Pt 0.0814 0.1628 0.3242 [18 per cell]


# KP2PtO8
Theoretical powder XRD pattern, Cu Ka. Input: DFT lattice parameters and positions (GGA-PBE).
Lines closer than 0.1° are merged.

Principal peaks in the range 15° ≤ 2θ ≤ 90°, in order of rising 2θ:
Position (°2θ)	I_rel	h k l
21.24	573	1 0 0
23.65	806	0 1 1
29.80	1000	0 1 2
37.24	320	1 1 0
47.55	243	1 0 4
48.40	257	0 2 2

Atomic structure:
abc: 4.8294 4.8294 8.6007
angles: 90.00 90.00 120.00
Space group P-3 (No. 147)
Symmetry-distinct sites (fractional):
K 0.0000 0.0000 0.0000 [1 per cell]
P 0.3333 0.6667 0.6995 [2 per cell]
Pt 0.0000 0.0000 0.5000 [1 per cell]
O 0.0384 0.3494 0.6380 [6 per cell]
O 0.3333 0.6667 0.8747 [2 per cell]


# Ce2Th2Al4Zn
Theoretical powder XRD pattern, Cu Ka. Input: DFT lattice parameters and positions (GGA-PBE).
Lines closer than 0.1° are merged.

Principal peaks in the range 15° ≤ 2θ ≤ 90°, in order of rising 2θ:
Position (°2θ)	I_rel	h k l
17.55	567	0 0 2
27.56	677	2 0 0
32.87	1000	2 0 2
39.38	444	2 2 0
45.55	307	2 0 4
54.07	317	2 2 4

Atomic structure:
abc: 6.4720 6.4720 10.1074
angles: 90.00 90.00 90.00
Space group I4/mmm (No. 139)
Symmetry-distinct sites (fractional):
Ce 0.0000 0.0000 0.2257 [4 per cell]
Th 0.0000 0.5000 0.2500 [4 per cell]
Al 0.2263 0.2263 0.0000 [8 per cell]
Zn 0.0000 0.0000 0.5000 [2 per cell]